[1]
# Li2NbRh
Theoretical PXRD pattern, Cu Kα. Input: DFT lattice parameters and positions (PBE).
Neutral-atom scattering factors, no anomalous dispersion.

Structural model:
```
Li2NbRh
1.0
6.015 0.000 0.000
0.000 6.015 0.000
0.000 0.000 6.015
Li Nb Rh
8 4 4
Cartesian
1.504 1.504 1.504 Li
1.504 1.504 4.511 Li
1.504 4.511 1.504 Li
1.504 4.511 4.511 Li
4.511 1.504 1.504 Li
4.511 1.504 4.511 Li
4.511 4.511 1.504 Li
4.511 4.511 4.511 Li
0.000 0.000 0.000 Nb
0.000 3.007 3.007 Nb
3.007 0.000 3.007 Nb
3.007 3.007 0.000 Nb
0.000 0.000 3.007 Rh
0.000 3.007 0.000 Rh
3.007 0.000 0.000 Rh
3.007 3.007 3.007 Rh
```

The 7 most intense peaks (2θ from 10° to 90°), low angle first:
| hkl | 2θ/deg | intensity |
| --- | --- | --- |
| 1 1 1 | 25.7 | 0.5 |
| 2 0 0 | 29.7 | 100.0 |
| 2 2 0 | 42.5 | 90.4 |
| 2 2 2 | 52.7 | 25.8 |
| 4 0 0 | 61.7 | 14.7 |
| 4 2 0 | 69.9 | 32.4 |
| 4 2 2 | 77.8 | 29.2 |

[2]
# NaPrNbO4
Theoretical PXRD pattern, Cu Kα. Input: DFT lattice parameters and positions (PBE).
Neutral-atom scattering factors, no anomalous dispersion.

Structural model:
```
NaPrNbO4
1.0
4.039 0.000 0.000
0.000 4.039 0.000
0.000 0.000 12.231
Na Pr Nb O
2 2 2 8
Cartesian
0.000 0.000 0.000 Na
2.019 2.019 6.116 Na
0.000 0.000 8.623 Pr
2.019 2.019 2.507 Pr
0.000 0.000 4.355 Nb
2.019 2.019 10.470 Nb
0.000 0.000 2.244 O
0.000 0.000 6.365 O
0.000 2.019 4.198 O
0.000 2.019 10.314 O
2.019 0.000 4.198 O
2.019 0.000 10.314 O
2.019 2.019 0.249 O
2.019 2.019 8.360 O
```

The 8 most intense peaks (2θ from 10° to 90°), low angle first:
| hkl | 2θ/deg | intensity |
| --- | --- | --- |
| 0 0 2 | 14.5 | 54.8 |
| 1 0 1 | 23.2 | 40.0 |
| 1 0 3 | 31.2 | 100.0 |
| 1 1 0 | 31.3 | 68.8 |
| 1 0 5 | 43.2 | 22.1 |
| 2 0 0 | 44.9 | 38.3 |
| 1 1 6 | 55.4 | 22.9 |
| 2 1 3 | 55.7 | 40.0 |